Starting from a DFT-relaxed cell (PBE, Alexandria), the PXRD pattern of Ac4PaGe5 was calculated for Cu Ka.
Intensities are scaled so that the largest is 100.

Principal peaks in the range 15 to 90 degrees two-theta, low angle first:
d/Å  I/Imax
3.669  72
3.186  100
3.163  51
2.252  38
2.244  77
1.920  28
1.835  41
1.423  17
1.416  18
1.299  24

Crystal structure
Lattice parameters (Å, degrees): 7.7935 7.7935 7.7935 99.48 99.48 132.12
Sites, in units of the cell vectors:
Ac: 0.0933 0.6990 0.7922
Ac: 0.3010 0.0933 0.3943
Ac: 0.6990 0.9067 0.6057
Ac: 0.9067 0.3010 0.2078
Pa: 0.5000 0.5000 0.0000
Ge: 0.0000 0.0000 0.0000
Ge: 0.2274 0.4072 0.6346
Ge: 0.4072 0.7726 0.1798
Ge: 0.5928 0.2274 0.8202
Ge: 0.7726 0.5928 0.3654